1.
This entry pairs a crystal structure of CsHICl with its theoretical X-ray diffraction stick pattern. Radiation: a wavelength of 1.5418 Å. Structure: a PBE-relaxed structure.
Kinematic intensities with the Lorentz-polarization factor, no thermal factor.

Structure:
Cell lengths 5.979, 4.969, 5.991 Å; angles 90.00, 101.42, 90.00 degrees
Space group Pm (No. 6)
Unique sites:
Cs 0.000 0.000 0.000
H 0.220 0.500 0.636
I 0.492 0.500 0.945
Cl 0.019 0.500 0.474

Most intense lines, 10° ≤ 2θ ≤ 80°, by angle:
index	two_theta	I_rel
0 0 1	15.1	100
1 1 0	23.5	81
1 1 -1	26.3	97
1 1 1	29.6	69
2 0 0	30.5	62
2 2 0	48.0	42

2.
This entry pairs a crystal structure of CsHICl6 with its theoretical X-ray diffraction stick pattern. Radiation: a wavelength of 1.5418 Å. Structure: a PBE-relaxed structure.
Kinematic intensities with the Lorentz-polarization factor, no thermal factor.

Structure:
Cell lengths 6.800, 7.301, 7.543 Å; angles 92.87, 98.52, 116.12 degrees
Space group P1 (No. 1)
Unique sites:
Cs 0.000 0.000 0.000
H 0.866 0.419 0.267
I 0.480 0.330 0.614
Cl 0.047 0.524 0.205
Cl 0.066 0.111 0.526
Cl 0.435 0.494 0.893
Cl 0.489 0.011 0.818
Cl 0.529 0.181 0.324
Cl 0.887 0.555 0.684

Most intense lines, 10° ≤ 2θ ≤ 80°, by angle:
index	two_theta	I_rel
0 1 0	13.6	71
1 -1 0	14.9	100
1 0 -1	17.2	60
1 -1 1	19.8	59
-1 1 2	27.5	100
2 0 0	29.8	70

3.
This entry pairs a crystal structure of CsH4NCl2 with its theoretical X-ray diffraction stick pattern. Radiation: a wavelength of 1.5418 Å. Structure: a PBE-relaxed structure.
Kinematic intensities with the Lorentz-polarization factor, no thermal factor.

Structure:
Cell lengths 6.737, 6.737, 13.994 Å; angles 90.00, 90.00, 90.00 degrees
Space group I4_1/amd (No. 141, origin choice 2)
Unique sites:
Cs 0.000 0.250 0.375
H 0.000 0.124 0.917
N 0.000 0.250 0.875
Cl 0.000 0.250 0.109

Most intense lines, 10° ≤ 2θ ≤ 80°, by angle:
index	two_theta	I_rel
1 0 1	14.6	79
1 0 3	23.2	50
0 0 4	25.5	52
2 0 0	26.5	100
2 0 4	37.0	72
2 2 4	46.1	36

4.
This entry pairs a crystal structure of Cs5Te3H4NCl18 with its theoretical X-ray diffraction stick pattern. Radiation: a wavelength of 1.5418 Å. Structure: a PBE-relaxed structure.
Kinematic intensities with the Lorentz-polarization factor, no thermal factor.

Structure:
Cell lengths 7.6103, 7.6103, 18.5960 Å; angles 90.00, 90.00, 120.00 degrees
Space group P3m1 (No. 156)
Unique sites:
Cs 0.0000 0.0000 0.0000
Cs 0.0000 0.0000 0.4953
Cs 0.3333 0.6667 0.3294
Cs 0.3333 0.6667 0.8322
Cs 0.6667 0.3333 0.6625
Te 0.0000 0.0000 0.7471
Te 0.3333 0.6667 0.0840
Te 0.6667 0.3333 0.4091
H 0.5192 0.2596 0.1875
H 0.6667 0.3333 0.1131
N 0.6667 0.3333 0.1686
Cl 0.0133 0.5067 0.0048
Cl 0.1591 0.3182 0.6671
Cl 0.1738 0.3477 0.1631
Cl 0.3181 0.1590 0.8269
Cl 0.3495 0.1748 0.3288
Cl 0.5077 0.0154 0.4894

Most intense lines, 10° ≤ 2θ ≤ 80°, by angle:
index	two_theta	I_rel
0 1 1	14.3	61
1 1 0	23.4	100
0 2 2	28.8	54
2 0 4	33.3	83
3 0 0	41.1	45
2 2 0	47.8	55

5.
This entry pairs a crystal structure of Cs2HClO with its theoretical X-ray diffraction stick pattern. Radiation: a wavelength of 1.5418 Å. Structure: a PBE-relaxed structure.
Kinematic intensities with the Lorentz-polarization factor, no thermal factor.

Structure:
Cell lengths 5.858, 5.858, 4.429 Å; angles 90.00, 90.00, 90.00 degrees
Space group P4mm (No. 99)
Unique sites:
Cs 0.000 0.500 0.000
H 0.000 0.000 0.387
Cl 0.500 0.500 0.513
O 0.000 0.000 0.167

Most intense lines, 10° ≤ 2θ ≤ 80°, by angle:
index	two_theta	I_rel
0 0 1	20.0	41
1 1 0	21.5	54
1 1 1	29.5	100
2 0 0	30.5	54
2 0 1	36.8	35
3 1 1	53.6	36

6.
This entry pairs a crystal structure of CsRbHClO with its theoretical X-ray diffraction stick pattern. Radiation: a wavelength of 1.5418 Å. Structure: a PBE-relaxed structure.
Kinematic intensities with the Lorentz-polarization factor, no thermal factor.

Structure:
Cell lengths 4.6618, 4.6618, 7.4756 Å; angles 90.00, 90.00, 120.00 degrees
Space group P3m1 (No. 156)
Unique sites:
Cs 0.0000 0.0000 0.0000
Rb 0.6667 0.3333 0.5692
H 0.3333 0.6667 0.6441
Cl 0.3333 0.6667 0.3143
O 0.3333 0.6667 0.7749

Most intense lines, 10° ≤ 2θ ≤ 80°, by angle:
index	two_theta	I_rel
0 1 1	25.1	100
1 0 2	32.6	41
1 1 0	38.6	31
0 1 3	42.6	16
2 0 1	46.6	18
1 2 1	62.1	17

7.
This entry pairs a crystal structure of CsRbHClO with its theoretical X-ray diffraction stick pattern. Radiation: a wavelength of 1.5418 Å. Structure: a PBE-relaxed structure.
Kinematic intensities with the Lorentz-polarization factor, no thermal factor.

Structure:
Cell lengths 8.265, 4.811, 7.673 Å; angles 90.00, 111.13, 90.00 degrees
Space group Cm (No. 8)
Unique sites:
Cs 0.000 0.000 0.000
Rb 0.481 0.000 0.435
H 0.194 0.500 0.090
Cl 0.239 0.000 0.711
O 0.243 0.500 0.226

Most intense lines, 10° ≤ 2θ ≤ 80°, by angle:
index	two_theta	I_rel
1 1 -1	22.9	36
2 0 0	23.1	18
1 1 1	27.2	100
0 2 0	37.4	15
3 1 -1	37.6	33
1 1 -3	40.0	18

8.
This entry pairs a crystal structure of CsRbHClO with its theoretical X-ray diffraction stick pattern. Radiation: a wavelength of 1.5418 Å. Structure: a PBE-relaxed structure.
Kinematic intensities with the Lorentz-polarization factor, no thermal factor.

Structure:
Cell lengths 4.563, 4.567, 7.197 Å; angles 90.00, 91.69, 90.00 degrees
Space group Pm (No. 6)
Unique sites:
Cs 0.000 0.000 0.000
Rb 0.521 0.500 0.411
H 0.489 0.500 0.906
Cl 0.026 0.000 0.508
O 0.506 0.500 0.041

Most intense lines, 10° ≤ 2θ ≤ 80°, by angle:
index	two_theta	I_rel
0 1 1	23.1	51
0 0 2	24.8	48
1 1 0	27.6	100
1 1 -2	37.0	30
1 1 2	37.8	31
0 2 0	39.5	36

9.
This entry pairs a crystal structure of CsRbHClO with its theoretical X-ray diffraction stick pattern. Radiation: a wavelength of 1.5418 Å. Structure: a PBE-relaxed structure.
Kinematic intensities with the Lorentz-polarization factor, no thermal factor.

Structure:
Cell lengths 4.925, 5.042, 6.315 Å; angles 90.95, 90.00, 90.01 degrees
Space group P1 (No. 1)
Unique sites:
Cs 0.000 0.000 0.000
Rb 0.501 0.317 0.504
H 0.002 0.857 0.494
Cl 0.500 0.507 0.007
O 0.001 0.050 0.504

Most intense lines, 10° ≤ 2θ ≤ 80°, by angle:
index	two_theta	I_rel
0 1 0	17.6	27
1 0 1	22.9	59
1 1 0	25.3	100
0 0 2	28.3	52
1 1 -2	38.1	32
1 1 2	38.5	32

10.
This entry pairs a crystal structure of Cs2TeH6Cl2O6 with its theoretical X-ray diffraction stick pattern. Radiation: a wavelength of 1.5418 Å. Structure: a PBE-relaxed structure.
Kinematic intensities with the Lorentz-polarization factor, no thermal factor.

Structure:
Cell lengths 6.483, 11.302, 8.003 Å; angles 90.00, 107.80, 90.00 degrees
Space group P2_1/c (No. 14)
Unique sites:
Cs 0.246 0.130 0.059
Te 0.000 0.000 0.500
H 0.156 0.640 0.828
H 0.219 0.655 0.197
H 0.374 0.082 0.576
Cl 0.380 0.669 0.697
O 0.019 0.639 0.861
O 0.173 0.574 0.220
O 0.257 0.072 0.462

Most intense lines, 10° ≤ 2θ ≤ 80°, by angle:
index	two_theta	I_rel
1 1 0	16.4	36
1 1 1	22.5	42
1 0 -2	23.4	76
0 3 1	26.4	100
2 1 -1	28.8	50
1 3 -3	41.7	36

11.
This entry pairs a crystal structure of CsHOsCl6 with its theoretical X-ray diffraction stick pattern. Radiation: a wavelength of 1.5418 Å. Structure: a PBE-relaxed structure.
Kinematic intensities with the Lorentz-polarization factor, no thermal factor.

Structure:
Cell lengths 6.222, 6.557, 6.946 Å; angles 73.95, 74.00, 87.55 degrees
Space group P-1 (No. 2)
Unique sites:
Cs 0.000 0.000 0.000
H 0.000 0.500 0.500
Os 0.500 0.500 0.500
Cl 0.192 0.347 0.443
Cl 0.270 0.547 0.811
Cl 0.416 0.837 0.316

Most intense lines, 10° ≤ 2θ ≤ 80°, by angle:
index	two_theta	I_rel
0 1 1	16.8	100
1 0 1	17.3	87
1 -1 0	20.1	51
0 1 -1	22.3	41
1 0 -1	22.9	39
2 1 1	31.4	46

12.
This entry pairs a crystal structure of Cs2ReHCl6 with its theoretical X-ray diffraction stick pattern. Radiation: a wavelength of 1.5418 Å. Structure: a PBE-relaxed structure.
Kinematic intensities with the Lorentz-polarization factor, no thermal factor.

Structure:
Cell lengths 10.651, 10.651, 10.651 Å; angles 90.00, 90.00, 90.00 degrees
Space group Fm-3m (No. 225)
Unique sites:
Cs 0.250 0.250 0.250
Re 0.000 0.000 0.000
H 0.000 0.000 0.500
Cl 0.000 0.000 0.224

Most intense lines, 10° ≤ 2θ ≤ 80°, by angle:
index	two_theta	I_rel
1 1 1	14.4	70
2 2 0	23.6	100
3 1 1	27.8	27
4 0 0	33.7	59
4 2 2	41.5	43
4 4 0	48.3	39

13.
This entry pairs a crystal structure of Cs2TiHCl6 with its theoretical X-ray diffraction stick pattern. Radiation: a wavelength of 1.5418 Å. Structure: a PBE-relaxed structure.
Kinematic intensities with the Lorentz-polarization factor, no thermal factor.

Structure:
Cell lengths 10.661, 10.661, 10.661 Å; angles 90.00, 90.00, 90.00 degrees
Space group Fm-3m (No. 225)
Unique sites:
Cs 0.250 0.250 0.250
Ti 0.000 0.000 0.000
H 0.000 0.000 0.500
Cl 0.000 0.000 0.222

Most intense lines, 10° ≤ 2θ ≤ 80°, by angle:
index	two_theta	I_rel
2 2 0	23.6	87
2 2 2	29.0	100
4 0 0	33.6	75
4 2 2	41.5	34
4 4 0	48.3	47
6 2 2	57.3	33